# NaCd14Sn
Calculated PXRD pattern, CuKα. Input: a DFT-relaxed cell (PBE, Alexandria).
Peak positions follow from Bragg's law for the DFT cell and can differ from measured ones.

Top 10 peaks for 15 to 90 degrees two-theta, in order of rising 2θ:
Position (°2θ)	I_rel
16.95	17
34.29	1000
39.49	338
40.44	155
57.07	110
57.80	208
68.30	250
69.62	114
72.26	104
85.00	35

Structural model:
abc: 6.4550 6.4550 8.9216
angles: 90.00 90.00 90.05
Fractional coordinates of all 16 atoms:
Na1 0.0000 0.0000 0.0000
Cd1 0.0000 0.0000 0.5000
Cd2 0.0000 0.5000 0.0000
Cd3 0.0000 0.5000 0.5000
Cd4 0.2464 0.2464 0.2580
Cd5 0.2464 0.2464 0.7420
Cd6 0.2463 0.7537 0.2580
Cd7 0.2463 0.7537 0.7420
Cd8 0.5000 0.0000 0.0000
Cd9 0.5000 0.0000 0.5000
Cd10 0.5000 0.5000 0.5000
Cd11 0.7537 0.2463 0.2580
Cd12 0.7537 0.2463 0.7420
Cd13 0.7536 0.7536 0.2580
Cd14 0.7536 0.7536 0.7420
Sn1 0.5000 0.5000 0.0000